(1)
This entry pairs a crystal structure of Dy2FeGe2Rh5 with its simulated powder diffraction line list. Radiation: Cu Ka. Structure: a DFT-relaxed cell (GGA-PBE, Alexandria).
No peak broadening, texture or thermal motion is included.

Crystal structure
```
Dy2FeGe2Rh5
1.0
9.6782 0.0000 0.0000
0.0000 9.6782 0.0000
0.0000 0.0000 3.5753
Dy Fe Ge Rh
4 2 4 10
Cartesian
1.6752 3.1639 0.0000
3.1639 8.0031 0.0000
6.5143 1.6752 0.0000
8.0031 6.5143 0.0000
0.0000 0.0000 0.0000
4.8391 4.8391 0.0000
1.2241 6.0632 0.0000
3.6151 1.2241 0.0000
6.0632 8.4542 0.0000
8.4542 3.6151 0.0000
0.0000 4.8391 1.7877
0.6312 7.7173 1.7877
1.9610 0.6312 1.7877
2.8782 5.4703 1.7877
4.2080 2.8782 1.7877
4.8391 0.0000 1.7877
5.4703 6.8001 1.7877
6.8001 4.2080 1.7877
7.7173 9.0471 1.7877
9.0471 1.9610 1.7877
```

Peak list (6 most intense, 2θ from 10° to 90°, by angle)
index  2θ (°)  Rel. int.
2 1 1  32.48  306
4 1 0  38.35  558
3 1 1  38.73  1000
3 3 0  39.50  268
3 2 1  42.09  346
0 0 2  51.09  231

=====

(2)
This entry pairs a crystal structure of DyFe6Sn4Ge2 with its simulated powder diffraction line list. Radiation: Cu Ka. Structure: a DFT-relaxed cell (GGA-PBE, Alexandria).
No peak broadening, texture or thermal motion is included.

Crystal structure
```
DyFe6Sn4Ge2
1.0
5.2875 0.0000 0.0000
-2.6437 4.5791 0.0000
0.0000 0.0000 8.7291
Dy Fe Sn Ge
1 6 4 2
Cartesian
0.0000 0.0000 0.0000
-1.3219 2.2895 2.0222
-1.3219 2.2895 6.7069
2.6437 0.0000 2.0222
2.6437 0.0000 6.7069
1.3219 2.2895 2.0222
1.3219 2.2895 6.7069
0.0000 0.0000 2.9317
0.0000 0.0000 5.7974
0.0000 3.0527 4.3645
2.6437 1.5264 4.3645
0.0000 3.0527 0.0000
2.6437 1.5264 0.0000
```

Peak list (6 most intense, 2θ from 10° to 90°, by angle)
index  2θ (°)  Rel. int.
1 1 0  33.91  1000
1 0 3  36.59  848
2 0 0  39.35  452
1 1 2  39.87  855
2 0 2  44.70  487
2 1 3  62.43  368

=====

(3)
This entry pairs a crystal structure of DyHfFe4 with its simulated powder diffraction line list. Radiation: Cu Ka. Structure: a DFT-relaxed cell (GGA-PBE, Alexandria).
No peak broadening, texture or thermal motion is included.

Crystal structure
```
DyHfFe4
1.0
5.0369 0.0000 0.0000
-2.5185 4.3621 0.0000
0.0000 0.0000 8.2143
Dy Hf Fe
2 2 8
Cartesian
0.0000 2.9081 0.5282
2.5185 1.4540 7.6860
0.0000 2.9081 3.6205
2.5185 1.4540 4.5937
0.0000 0.0000 0.0000
0.0000 0.0000 4.1071
0.0000 1.4609 6.0665
-1.2533 3.6317 6.0665
1.2652 0.7305 2.1478
1.2533 3.6317 6.0665
3.7718 0.7305 2.1478
2.5185 2.9012 2.1478
```

Peak list (6 most intense, 2θ from 10° to 90°, by angle)
index  2θ (°)  Rel. int.
1 1 0  35.65  703
0 1 3  38.83  995
1 1 2  42.09  1000
2 0 1  42.90  509
1 2 3  66.16  406
2 0 5  71.96  266